Diffraction record for SrBi3PdRh. The powder X-ray diffraction pattern is computed, not measured: it uses a cell relaxed with PBE and Cu Kα X-rays.
Neutral-atom scattering factors, no anomalous dispersion.

Structural model:
a b c (Å): 8.757 8.757 6.855
angles (deg): 90.00 90.00 133.91
Fractional positions:
1 Sr 0.181 0.819 0.750
2 Sr 0.819 0.181 0.250
3 Bi 0.254 0.254 0.000
4 Bi 0.254 0.254 0.500
5 Bi 0.255 0.745 0.250
6 Bi 0.745 0.255 0.750
7 Bi 0.746 0.746 0.000
8 Bi 0.746 0.746 0.500
9 Pd 0.089 0.911 0.250
10 Pd 0.911 0.089 0.750
11 Rh 0.418 0.582 0.250
12 Rh 0.582 0.418 0.750

Main lines, by angle (10 to 90 degrees two-theta):
2θ/deg, I (rel.)
10.98, 42
19.12, 44
22.06, 32
28.29, 100
37.09, 64
42.77, 58
43.55, 40
70.76, 27